# 1
Starting from a cell relaxed with GGA-PBE, the X-ray powder pattern of TbY2ErSc was simulated for Cu Kα X-rays.
No peak broadening, texture or thermal motion is included.

Main lines, sorted by position (2θ from 10° to 90°):
| index | 2θ (°) | intensity |
| --- | --- | --- |
| 2 0 0 | 21.77 | 24 |
| 2 2 0 | 27.05 | 100 |
| 0 2 2 | 29.81 | 93 |
| 0 4 0 | 32.06 | 50 |
| 2 0 2 | 33.43 | 88 |
| 1 3 2 | 36.66 | 23 |
| 3 3 0 | 41.09 | 22 |
| 2 4 2 | 47.00 | 59 |
| 0 6 2 | 55.77 | 23 |
| 2 2 4 | 59.07 | 26 |

Structure:
a = 8.166 Å, b = 11.167 Å, c = 7.105 Å
α = 90.00°, β = 90.00°, γ = 90.00°
Space group Cmcm (No. 63)
Asymmetric unit:
Tb 0.000 0.232 0.250 [4 per cell]
Y 0.198 0.000 0.000 [8 per cell]
Er 0.000 0.232 0.750 [4 per cell]
Sc 0.000 0.499 0.250 [4 per cell]

=====

# 2
Starting from a cell relaxed with GGA-PBE, the X-ray powder pattern of Tb5YErSc2 was simulated for Cu Kα X-rays.
No peak broadening, texture or thermal motion is included.

Main lines, sorted by position (2θ from 10° to 90°):
| index | 2θ (°) | intensity |
| --- | --- | --- |
| 1 1 0 | 16.37 | 23 |
| 0 6 1 | 26.77 | 24 |
| 0 2 3 | 29.88 | 16 |
| 2 0 0 | 31.98 | 60 |
| 1 5 2 | 32.58 | 100 |
| 1 1 3 | 33.18 | 56 |
| 1 7 1 | 34.81 | 45 |
| 2 6 1 | 42.18 | 18 |
| 3 5 2 | 57.38 | 20 |
| 3 1 3 | 57.75 | 17 |

Structure:
a = 5.597 Å, b = 21.386 Å, c = 9.345 Å
α = 90.00°, β = 90.00°, γ = 90.00°
Space group Cmc2_1 (No. 36)
Asymmetric unit:
Tb 0.000 0.012 0.000 [4 per cell]
Tb 0.000 0.266 0.320 [4 per cell]
Tb 0.000 0.306 0.708 [4 per cell]
Tb 0.000 0.392 0.036 [4 per cell]
Tb 0.000 0.468 0.737 [4 per cell]
Y 0.000 0.185 0.006 [4 per cell]
Er 0.000 0.402 0.409 [4 per cell]
Sc 0.000 0.114 0.315 [4 per cell]
Sc 0.000 0.134 0.691 [4 per cell]

=====

# 3
Starting from a cell relaxed with GGA-PBE, the X-ray powder pattern of TbY2ErSc2 was simulated for Cu Kα X-rays.
No peak broadening, texture or thermal motion is included.

Main lines, sorted by position (2θ from 10° to 90°):
| index | 2θ (°) | intensity |
| --- | --- | --- |
| 0 2 0 | 18.79 | 30 |
| 1 2 0 | 22.91 | 7 |
| 2 1 1 | 32.40 | 100 |
| 0 3 1 | 32.84 | 81 |
| 2 4 0 | 46.80 | 36 |
| 2 4 2 | 58.32 | 24 |
| 2 5 1 | 58.42 | 12 |
| 0 3 3 | 58.58 | 10 |
| 4 3 1 | 64.49 | 22 |
| 4 3 3 | 83.58 | 7 |

Structure:
a = 6.815 Å, b = 9.431 Å, c = 5.463 Å
α = 90.00°, β = 90.00°, γ = 90.00°
Space group Pnnm (No. 58)
Asymmetric unit:
Tb 0.000 0.000 0.000 [2 per cell]
Y 0.249 0.334 0.000 [4 per cell]
Er 0.000 0.500 0.500 [2 per cell]
Sc 0.250 0.167 0.500 [4 per cell]

=====

# 4
Starting from a cell relaxed with GGA-PBE, the X-ray powder pattern of ErSc3Tc was simulated for Cu Kα X-rays.
No peak broadening, texture or thermal motion is included.

Main lines, sorted by position (2θ from 10° to 90°):
| index | 2θ (°) | intensity |
| --- | --- | --- |
| 1 1 0 | 22.92 | 100 |
| 1 1 1 | 25.66 | 28 |
| 0 2 0 | 29.08 | 33 |
| 1 1 2 | 32.59 | 62 |
| 0 0 3 | 34.57 | 26 |
| 2 0 0 | 35.89 | 53 |
| 1 2 1 | 36.21 | 70 |
| 0 1 3 | 37.64 | 37 |
| 1 2 3 | 49.48 | 24 |
| 2 1 3 | 52.98 | 27 |

Structure:
a = 5.005 Å, b = 6.141 Å, c = 7.783 Å
α = 90.00°, β = 90.00°, γ = 90.00°
Space group Pmmn (No. 59, origin choice 2)
Asymmetric unit:
Er 0.250 0.250 0.049 [2 per cell]
Sc 0.250 0.513 0.651 [4 per cell]
Sc 0.250 0.750 0.275 [2 per cell]
Tc 0.250 0.250 0.382 [2 per cell]